[1]
# NbIr3Rh
Calculated PXRD pattern, λ = 1.5418 Å (Cu Kα). Input: the PBE geometry in Alexandria.

Atomic structure:
Cell lengths 6.836, 6.475, 7.833 Å; angles 90.00, 90.00, 90.00 degrees
Space group Ama2 (No. 40)
Inequivalent atoms, fractional coordinates:
Nb: 0.000 0.000 0.000 (multiplicity 4)
Ir: 0.069 0.184 0.707 (multiplicity 8)
Ir: 0.250 0.359 0.013 (multiplicity 4)
Rh: 0.250 0.065 0.248 (multiplicity 4)

Most intense lines, 2θ from 10° to 90°, by angle:
Position (°2θ)	I_rel
22.05	56
22.71	51
31.73	84
38.40	96
39.48	47
43.49	73
43.67	100
44.98	59
45.93	52
46.37	42

[2]
# Nb4Ir4Rh5
Calculated PXRD pattern, λ = 1.5418 Å (Cu Kα). Input: the PBE geometry in Alexandria.

Atomic structure:
Cell lengths 10.077, 10.077, 3.956 Å; angles 90.00, 90.00, 90.00 degrees
Space group I4/m (No. 87)
Inequivalent atoms, fractional coordinates:
Nb: 0.136 0.230 0.000 (multiplicity 8)
Ir: 0.087 0.617 0.000 (multiplicity 8)
Rh: 0.000 0.000 0.000 (multiplicity 2)
Rh: 0.043 0.809 0.500 (multiplicity 8)

Most intense lines, 2θ from 10° to 90°, by angle:
Position (°2θ)	I_rel
12.42	10
17.60	2
30.06	6
35.64	3
39.48	100
45.91	47
66.94	29
72.32	2
80.59	33
84.98	10

[3]
# NbIr4Rh2
Calculated PXRD pattern, λ = 1.5418 Å (Cu Kα). Input: the PBE geometry in Alexandria.

Atomic structure:
Cell lengths 4.740, 6.836, 7.292 Å; angles 85.71, 71.07, 76.41 degrees
Space group P1 (No. 1)
Inequivalent atoms, fractional coordinates:
Nb: 0.000 0.000 0.000 (multiplicity 1)
Nb: 0.350 0.328 0.410 (multiplicity 1)
Ir: 0.146 0.334 0.800 (multiplicity 1)
Ir: 0.198 0.999 0.599 (multiplicity 1)
Ir: 0.388 0.658 0.793 (multiplicity 1)
Ir: 0.400 0.002 0.200 (multiplicity 1)
Ir: 0.552 0.328 0.995 (multiplicity 1)
Ir: 0.803 0.006 0.408 (multiplicity 1)
Ir: 0.949 0.332 0.207 (multiplicity 1)
Ir: 0.981 0.668 0.605 (multiplicity 1)
Rh: 0.178 0.662 0.203 (multiplicity 1)
Rh: 0.585 0.669 0.400 (multiplicity 1)
Rh: 0.601 0.007 0.795 (multiplicity 1)
Rh: 0.779 0.659 0.999 (multiplicity 1)

Most intense lines, 2θ from 10° to 90°, by angle:
Position (°2θ)	I_rel
18.55	37
38.01	38
38.22	23
40.74	82
42.02	58
42.05	54
42.15	49
44.22	100
44.55	44
68.42	36

[4]
# Nb2IrRh4
Calculated PXRD pattern, λ = 1.5418 Å (Cu Kα). Input: the PBE geometry in Alexandria.

Atomic structure:
Cell lengths 7.423, 7.423, 4.294 Å; angles 90.00, 90.00, 90.00 degrees
Space group P4_2/mnm (No. 136)
Inequivalent atoms, fractional coordinates:
Nb: 0.239 0.239 0.000 (multiplicity 4)
Ir: 0.000 0.000 0.500 (multiplicity 2)
Rh: 0.082 0.667 0.000 (multiplicity 8)

Most intense lines, 2θ from 10° to 90°, by angle:
Position (°2θ)	I_rel
34.14	100
38.35	35
40.27	23
42.09	32
43.96	52
50.71	11
55.31	15
58.24	21
66.66	20
71.83	10

[5]
# Nb3Ir2Rh3
Calculated PXRD pattern, λ = 1.5418 Å (Cu Kα). Input: the PBE geometry in Alexandria.

Atomic structure:
Cell lengths 3.895, 3.953, 8.103 Å; angles 90.00, 90.00, 90.00 degrees
Space group Pmmm (No. 47)
Inequivalent atoms, fractional coordinates:
Nb: 0.000 0.000 0.000 (multiplicity 1)
Nb: 0.000 0.500 0.263 (multiplicity 2)
Ir: 0.500 0.000 0.254 (multiplicity 2)
Rh: 0.000 0.000 0.500 (multiplicity 1)
Rh: 0.500 0.500 0.000 (multiplicity 1)
Rh: 0.500 0.500 0.500 (multiplicity 1)

Most intense lines, 2θ from 10° to 90°, by angle:
Position (°2θ)	I_rel
39.36	100
44.74	17
45.92	16
46.63	15
66.05	11
66.61	10
78.83	12
80.53	12
81.58	12
84.68	11

[6]
# Nb2TcIr5Rh
Calculated PXRD pattern, λ = 1.5418 Å (Cu Kα). Input: the PBE geometry in Alexandria.

Atomic structure:
Cell lengths 7.330, 7.330, 11.133 Å; angles 90.00, 90.00, 90.00 degrees
Space group I4/mcm (No. 140)
Inequivalent atoms, fractional coordinates:
Nb: 0.119 0.381 0.000 (multiplicity 8)
Tc: 0.000 0.000 0.250 (multiplicity 4)
Ir: 0.000 0.000 0.000 (multiplicity 4)
Ir: 0.209 0.291 0.361 (multiplicity 16)
Rh: 0.000 0.500 0.250 (multiplicity 4)

Most intense lines, 2θ from 10° to 90°, by angle:
Position (°2θ)	I_rel
34.61	69
36.58	52
38.85	18
40.71	100
42.24	11
45.35	14
52.10	17
57.48	20
66.17	22
67.28	12

[7]
# NbZnIrRh
Calculated PXRD pattern, λ = 1.5418 Å (Cu Kα). Input: the PBE geometry in Alexandria.

Atomic structure:
Cell lengths 4.083, 4.083, 7.250 Å; angles 90.00, 90.00, 90.00 degrees
Space group I-4m2 (No. 119)
Inequivalent atoms, fractional coordinates:
Nb: 0.000 0.000 0.000 (multiplicity 2)
Zn: 0.000 0.000 0.500 (multiplicity 2)
Ir: 0.000 0.500 0.250 (multiplicity 2)
Rh: 0.000 0.500 0.750 (multiplicity 2)

Most intense lines, 2θ from 10° to 90°, by angle:
Position (°2θ)	I_rel
25.03	11
30.97	7
39.92	100
44.37	37
50.35	13
64.55	12
69.33	19
78.66	27
86.11	11
87.52	10

[8]
# Nb2IrRu6
Calculated PXRD pattern, λ = 1.5418 Å (Cu Kα). Input: the PBE geometry in Alexandria.

Atomic structure:
Cell lengths 3.898, 11.657, 11.853 Å; angles 90.00, 90.00, 90.00 degrees
Space group Fmmm (No. 69)
Inequivalent atoms, fractional coordinates:
Nb: 0.000 0.000 0.155 (multiplicity 8)
Ir: 0.000 0.000 0.500 (multiplicity 4)
Ru: 0.000 0.171 0.334 (multiplicity 16)
Ru: 0.000 0.174 0.000 (multiplicity 8)

Most intense lines, 2θ from 10° to 90°, by angle:
Position (°2θ)	I_rel
39.92	100
45.94	17
46.60	16
46.76	16
67.51	10
68.15	10
80.92	12
81.89	12
82.12	11
86.12	10

Repeat the second record exactly.
# Nb4Ir4Rh5
Calculated PXRD pattern, λ = 1.5418 Å (Cu Kα). Input: the PBE geometry in Alexandria.

Atomic structure:
Cell lengths 10.077, 10.077, 3.956 Å; angles 90.00, 90.00, 90.00 degrees
Space group I4/m (No. 87)
Inequivalent atoms, fractional coordinates:
Nb: 0.136 0.230 0.000 (multiplicity 8)
Ir: 0.087 0.617 0.000 (multiplicity 8)
Rh: 0.000 0.000 0.000 (multiplicity 2)
Rh: 0.043 0.809 0.500 (multiplicity 8)

Most intense lines, 2θ from 10° to 90°, by angle:
Position (°2θ)	I_rel
12.42	10
17.60	2
30.06	6
35.64	3
39.48	100
45.91	47
66.94	29
72.32	2
80.59	33
84.98	10